No. 1
Diffraction record for TlC4S4N. The X-ray diffraction stick pattern is calculated, not measured: it uses a DFT-relaxed cell (GGA-PBE, the Materials Project) and a wavelength of 1.5418 Å.

a = 7.4240 Å, b = 9.2152 Å, c = 10.0950 Å
α = 116.83°, β = 91.98°, γ = 99.09°
Space group P-1 (No. 2)
Unique sites:
Tl 0.2351 0.3328 0.0622 x2
C 0.0134 0.7691 0.4318 x2
C 0.1110 0.2924 0.4798 x2
C 0.2452 0.3607 0.4021 x2
C 0.2482 0.8564 0.2596 x2
S 0.2034 0.8300 0.8911 x2
S 0.3513 0.8773 0.1289 x2
S 0.3522 0.6795 0.8714 x2
S 0.4116 0.4443 0.3078 x2
N 0.1264 0.8201 0.3419 x2

Most intense lines, 15 to 90 degrees two-theta, by angle:
2θ (°)  intensity
17.0  53.3
17.9  45.5
19.5  97.4
21.4  44.3
21.8  57.4
23.0  100.0
24.5  52.5
25.3  47.1
27.6  58.3
30.0  48.5

***

No. 2
Diffraction record for AlSiMo. The X-ray diffraction stick pattern is calculated, not measured: it uses a DFT-relaxed cell (GGA-PBE, the Materials Project) and a wavelength of 1.5418 Å.

a = 4.7647 Å, b = 4.7647 Å, c = 6.6338 Å
α = 90.00°, β = 90.00°, γ = 120.00°
Space group P3_212 (No. 153)
Unique sites:
Al 0.1689 0.3378 0.3333 x3
Si 0.0072 0.5036 0.0000 x3
Mo 0.3423 0.1711 0.0000 x3

Most intense lines, 15 to 90 degrees two-theta, by angle:
2θ (°)  intensity
25.4  72.0
34.7  32.2
37.8  14.9
40.2  100.0
40.8  35.9
43.9  18.2
47.0  62.9
69.0  19.6
69.8  18.6
74.7  15.4